No. 1
Rb3NaCo2Cl9: calculated X-ray diffraction stick pattern (CuKα), based on DFT lattice parameters and positions (GGA-PBE).

a b c (Å): 7.1541 7.1541 8.8960
angles (deg): 90.00 90.00 120.00
Space group P-3m1 (No. 164)
Asymmetric unit:
Rb: 0.0000 0.0000 0.0000 x1
Rb: 0.3333 0.6667 0.6760 x2
Na: 0.0000 0.0000 0.5000 x1
Co: 0.3333 0.6667 0.1707 x2
Cl: 0.0000 0.5000 0.0000 x3
Cl: 0.1757 0.3515 0.3125 x6

Principal peaks in the range 10° ≤ 2θ ≤ 90°, sorted by position:
(hkl)	2θ/deg	I/Imax
0 1 2	24.64	46
1 1 0	24.89	44
0 0 3	30.14	17
0 2 1	30.56	54
2 0 2	35.31	100
1 2 2	43.68	20
0 2 4	50.52	32
2 2 0	51.07	32
2 2 3	60.45	12
0 4 2	63.61	15
2 2 6	84.97	11
4 2 2	85.82	13



No. 2
LiTl2GaI4: calculated X-ray diffraction stick pattern (CuKα), based on DFT lattice parameters and positions (GGA-PBE).

a b c (Å): 8.1707 4.6980 8.3712
angles (deg): 90.00 108.65 90.00
Space group P2/m (No. 10)
Asymmetric unit:
Li: 0.0000 0.0000 0.0000 x1
Tl: 0.0000 0.5000 0.5000 x1
Tl: 0.5000 0.0000 0.5000 x1
Ga: 0.5000 0.5000 0.0000 x1
I: 0.2267 0.5000 0.2145 x2
I: 0.2456 0.0000 0.7804 x2

Principal peaks in the range 10° ≤ 2θ ≤ 90°, sorted by position:
(hkl)	2θ/deg	I/Imax
0 0 1	11.16	11
2 0 -1	22.12	21
1 1 1	26.50	100
1 1 -2	28.90	14
2 0 2	37.29	12
1 1 -3	37.49	24
3 1 -1	38.20	26
0 2 0	38.32	13
2 2 -2	47.22	14
0 2 4	61.21	9
4 2 0	62.18	11
1 3 -3	68.72	9



No. 3
Mg6AgPt5: calculated X-ray diffraction stick pattern (CuKα), based on DFT lattice parameters and positions (GGA-PBE).

a b c (Å): 4.4875 6.4732 6.9330
angles (deg): 90.00 104.18 90.00
Space group P2/m (No. 10)
Asymmetric unit:
Mg: 0.0000 0.2421 0.0000 x2
Mg: 0.3268 0.2462 0.6586 x4
Ag: 0.5000 0.5000 0.0000 x1
Pt: 0.1640 0.5000 0.3276 x2
Pt: 0.1689 0.0000 0.3305 x2
Pt: 0.5000 0.0000 0.0000 x1

Principal peaks in the range 10° ≤ 2θ ≤ 90°, sorted by position:
(hkl)	2θ/deg	I/Imax
1 0 1	27.00	73
0 2 0	27.56	69
1 0 -2	29.33	59
1 2 1	38.97	100
0 0 3	40.25	46
2 0 -1	40.33	45
1 2 -2	40.68	89
2 2 -1	49.51	57
2 0 2	55.67	18
1 4 1	64.09	20
3 2 0	71.25	17
2 4 -1	72.01	33